# 1
The following is a simulated powder diffractogram of Ni11As8. It was derived from DFT lattice parameters and positions (PBE), using Cu Kα.

Most intense lines, 15 to 90 degrees two-theta, in order of rising 2θ:
33.13 deg, d = 2.704 Å, I 83
37.88 deg, d = 2.375 Å, I 20
44.79 deg, d = 2.023 Å, I 100
46.00 deg, d = 1.973 Å, I 17
47.69 deg, d = 1.907 Å, I 21
48.09 deg, d = 1.892 Å, I 18
53.16 deg, d = 1.723 Å, I 18
53.25 deg, d = 1.720 Å, I 61

Structure:
Unit cell a=6.8815 b=6.8815 c=11.1942 alpha=98.75 beta=98.75 gamma=90.03
Fractional coordinates of all 38 atoms:
Ni1 0.0780 0.1467 0.0937
Ni2 0.0846 0.6508 0.0926
Ni3 0.1458 0.4677 0.5927
Ni4 0.1467 0.0780 0.5937
Ni5 0.1889 0.8111 0.7500
Ni6 0.1978 0.3225 0.7864
Ni7 0.3225 0.1978 0.2864
Ni8 0.3485 0.5403 0.4072
Ni9 0.3492 0.9154 0.4074
Ni10 0.4597 0.6515 0.0928
Ni11 0.4677 0.1458 0.0927
Ni12 0.5323 0.8542 0.9073
Ni13 0.5403 0.3485 0.9072
Ni14 0.6508 0.0846 0.5926
Ni15 0.6515 0.4597 0.5928
Ni16 0.6775 0.8022 0.7136
Ni17 0.8022 0.6775 0.2136
Ni18 0.8111 0.1889 0.2500
Ni19 0.8533 0.9220 0.4063
Ni20 0.8542 0.5323 0.4073
Ni21 0.9154 0.3492 0.9074
Ni22 0.9220 0.8533 0.9063
As1 0.0663 0.4432 0.2494
As2 0.0672 0.9328 0.2500
As3 0.1265 0.7519 0.5072
As4 0.2481 0.8735 0.9928
As5 0.2509 0.3760 0.0012
As6 0.3760 0.2509 0.5012
As7 0.4432 0.0663 0.7494
As8 0.4431 0.5569 0.7500
As9 0.5569 0.4431 0.2500
As10 0.5568 0.9337 0.2506
As11 0.6240 0.7491 0.4988
As12 0.7491 0.6240 0.9988
As13 0.7519 0.1265 0.0072
As14 0.8735 0.2481 0.4928
As15 0.9328 0.0672 0.7500
As16 0.9337 0.5568 0.7506



# 2
The following is a simulated powder diffractogram of CsHgAsS3. It was derived from DFT lattice parameters and positions (PBE), using Cu Kα.

Most intense lines, 15 to 90 degrees two-theta, in order of rising 2θ:
21.18 deg, d = 4.194 Å, I 100
21.60 deg, d = 4.114 Å, I 53
25.09 deg, d = 3.550 Å, I 65
26.46 deg, d = 3.369 Å, I 81
27.51 deg, d = 3.242 Å, I 49
28.36 deg, d = 3.147 Å, I 48
30.94 deg, d = 2.890 Å, I 44
39.92 deg, d = 2.258 Å, I 41

Structure:
Unit cell a=10.3660 b=6.8125 c=14.2053 alpha=90.00 beta=131.46 gamma=90.00
Fractional coordinates of all 24 atoms:
Cs1 0.1107 0.2119 0.1824
Cs2 0.1107 0.2881 0.6824
Cs3 0.8893 0.7119 0.3176
Cs4 0.8893 0.7881 0.8176
Hg1 0.4820 0.1632 0.1385
Hg2 0.4820 0.3368 0.6385
Hg3 0.5180 0.6632 0.3615
Hg4 0.5180 0.8368 0.8615
As1 0.4032 0.6495 0.0341
As2 0.4032 0.8505 0.5341
As3 0.5968 0.1495 0.4659
As4 0.5968 0.3505 0.9659
S1 0.2251 0.0997 0.4837
S2 0.2251 0.4003 0.9837
S3 0.2609 0.6982 0.3463
S4 0.2609 0.8018 0.8463
S5 0.3380 0.6474 0.6292
S6 0.3380 0.8526 0.1292
S7 0.6620 0.1474 0.8708
S8 0.6620 0.3526 0.3708
S9 0.7391 0.1982 0.1537
S10 0.7391 0.3018 0.6537
S11 0.7749 0.5997 0.0163
S12 0.7749 0.9003 0.5163



# 3
The following is a simulated powder diffractogram of Be17Nb2. It was derived from DFT lattice parameters and positions (PBE), using Cu Kα.

Most intense lines, 15 to 90 degrees two-theta, in order of rising 2θ:
16.16 deg, d = 5.486 Å, I 68
21.64 deg, d = 4.107 Å, I 25
24.14 deg, d = 3.686 Å, I 100
24.90 deg, d = 3.576 Å, I 31
34.96 deg, d = 2.567 Å, I 97
42.48 deg, d = 2.128 Å, I 36
49.45 deg, d = 1.843 Å, I 29
49.87 deg, d = 1.829 Å, I 53

Structure:
Unit cell a=5.5589 b=5.5589 c=5.5589 alpha=83.07 beta=83.07 gamma=83.07
Fractional coordinates of all 19 atoms:
Be1 0.0000 0.0000 0.5000
Be2 0.0000 0.2942 0.7058
Be3 0.0000 0.5000 0.0000
Be4 0.0000 0.7058 0.2942
Be5 0.0988 0.0988 0.0988
Be6 0.1608 0.6534 0.6534
Be7 0.2942 0.0000 0.7058
Be8 0.2942 0.7058 0.0000
Be9 0.3466 0.3466 0.8392
Be10 0.3466 0.8392 0.3466
Be11 0.5000 0.0000 0.0000
Be12 0.6534 0.1608 0.6534
Be13 0.6534 0.6534 0.1608
Be14 0.7058 0.0000 0.2942
Be15 0.7058 0.2942 0.0000
Be16 0.8392 0.3466 0.3466
Be17 0.9012 0.9012 0.9012
Nb1 0.3397 0.3397 0.3397
Nb2 0.6603 0.6603 0.6603



# 4
The following is a simulated powder diffractogram of Cu4Ag. It was derived from DFT lattice parameters and positions (PBE), using Cu Kα.

Most intense lines, 15 to 90 degrees two-theta, in order of rising 2θ:
41.80 deg, d = 2.161 Å, I 47
41.93 deg, d = 2.155 Å, I 49
42.05 deg, d = 2.149 Å, I 100
47.66 deg, d = 1.908 Å, I 68
51.14 deg, d = 1.786 Å, I 25
72.39 deg, d = 1.305 Å, I 15
72.57 deg, d = 1.303 Å, I 16
84.99 deg, d = 1.141 Å, I 22

Structure:
Unit cell a=6.4779 b=2.6896 c=7.6485 alpha=90.00 beta=102.57 gamma=90.00
Fractional coordinates of all 10 atoms:
Cu1 0.0537 0.2500 0.1440
Cu2 0.1419 0.7500 0.4486
Cu3 0.2221 0.2500 0.7443
Cu4 0.3406 0.7500 0.0235
Cu5 0.6594 0.2500 0.9765
Cu6 0.7779 0.7500 0.2557
Cu7 0.8581 0.2500 0.5514
Cu8 0.9463 0.7500 0.8560
Ag1 0.4526 0.2500 0.3318
Ag2 0.5474 0.7500 0.6682



# 5
The following is a simulated powder diffractogram of RbGaAu. It was derived from DFT lattice parameters and positions (PBE), using Cu Kα.

Most intense lines, 15 to 90 degrees two-theta, in order of rising 2θ:
21.69 deg, d = 4.098 Å, I 21
26.19 deg, d = 3.403 Å, I 40
29.44 deg, d = 3.034 Å, I 100
34.96 deg, d = 2.566 Å, I 21
37.37 deg, d = 2.406 Å, I 46
48.27 deg, d = 1.885 Å, I 51
53.88 deg, d = 1.702 Å, I 16
54.12 deg, d = 1.695 Å, I 24

Structure:
Unit cell a=4.8119 b=4.8133 c=7.8160 alpha=90.00 beta=90.00 gamma=90.00
Fractional coordinates of all 6 atoms:
Rb1 0.2500 0.2500 0.1491
Rb2 0.7500 0.7500 0.8509
Ga1 0.2500 0.7500 0.4993
Ga2 0.7500 0.2500 0.5007
Au1 0.2500 0.2500 0.6483
Au2 0.7500 0.7500 0.3517



# 6
The following is a simulated powder diffractogram of Tb2BrNCl2. It was derived from DFT lattice parameters and positions (PBE), using Cu Kα.

Most intense lines, 15 to 90 degrees two-theta, in order of rising 2θ:
25.65 deg, d = 3.473 Å, I 30
27.04 deg, d = 3.298 Å, I 100
28.42 deg, d = 3.140 Å, I 35
32.31 deg, d = 2.770 Å, I 39
32.93 deg, d = 2.720 Å, I 55
33.62 deg, d = 2.666 Å, I 46
35.19 deg, d = 2.550 Å, I 44
37.01 deg, d = 2.429 Å, I 32

Structure:
Unit cell a=8.7201 b=8.7201 c=11.1639 alpha=122.75 beta=122.75 gamma=25.61
Fractional coordinates of all 12 atoms:
Tb1 0.0807 0.0807 0.4568
Tb2 0.3603 0.3603 0.2087
Tb3 0.6397 0.6397 0.7913
Tb4 0.9193 0.9193 0.5432
Br1 0.2688 0.2688 0.3735
Br2 0.7312 0.7312 0.6265
N1 0.0777 0.0777 0.6556
N2 0.9223 0.9223 0.3444
Cl1 0.1667 0.1667 0.0038
Cl2 0.4603 0.4603 0.7451
Cl3 0.5397 0.5397 0.2549
Cl4 0.8333 0.8333 0.9962



# 7
The following is a simulated powder diffractogram of GdY2Sn4Pb3. It was derived from DFT lattice parameters and positions (PBE), using Cu Kα.

Most intense lines, 15 to 90 degrees two-theta, in order of rising 2θ:
32.78 deg, d = 2.732 Å, I 100
33.49 deg, d = 2.676 Å, I 21
40.08 deg, d = 2.250 Å, I 15
40.20 deg, d = 2.243 Å, I 15
53.24 deg, d = 1.721 Å, I 23
59.42 deg, d = 1.556 Å, I 13
68.21 deg, d = 1.375 Å, I 12
68.39 deg, d = 1.372 Å, I 12

Structure:
Unit cell a=13.5663 b=13.5663 c=4.4999 alpha=90.00 beta=90.00 gamma=160.96
Fractional coordinates of all 10 atoms:
Gd1 0.0000 0.0000 0.0000
Y1 0.3123 0.6877 0.5000
Y2 0.6877 0.3123 0.5000
Sn1 0.0966 0.9034 0.5000
Sn2 0.4030 0.5970 0.0000
Sn3 0.5970 0.4030 0.0000
Sn4 0.9034 0.0966 0.5000
Pb1 0.2091 0.7909 0.0000
Pb2 0.5000 0.5000 0.5000
Pb3 0.7909 0.2091 0.0000



# 8
The following is a simulated powder diffractogram of Be2Pt2O5. It was derived from DFT lattice parameters and positions (PBE), using Cu Kα.

Most intense lines, 15 to 90 degrees two-theta, in order of rising 2θ:
25.59 deg, d = 3.481 Å, I 49
26.13 deg, d = 3.410 Å, I 100
36.90 deg, d = 2.436 Å, I 95
37.29 deg, d = 2.411 Å, I 39
45.78 deg, d = 1.982 Å, I 66
53.76 deg, d = 1.705 Å, I 25
59.65 deg, d = 1.550 Å, I 22
67.00 deg, d = 1.397 Å, I 35

Structure:
Unit cell a=3.4101 b=3.4101 c=6.9611 alpha=90.00 beta=90.00 gamma=90.00
Fractional coordinates of all 9 atoms:
Be1 0.0000 0.0000 0.2360
Be2 0.0000 0.0000 0.7640
Pt1 0.5000 0.5000 0.0000
Pt2 0.5000 0.5000 0.5000
O1 0.0000 0.0000 0.0000
O2 0.0000 0.5000 0.3182
O3 0.0000 0.5000 0.6818
O4 0.5000 0.0000 0.3182
O5 0.5000 0.0000 0.6818



# 9
The following is a simulated powder diffractogram of Nd3AlCl2F. It was derived from DFT lattice parameters and positions (PBE), using Cu Kα.

Most intense lines, 15 to 90 degrees two-theta, in order of rising 2θ:
15.57 deg, d = 5.691 Å, I 41
26.92 deg, d = 3.312 Å, I 94
30.68 deg, d = 2.914 Å, I 53
31.44 deg, d = 2.846 Å, I 100
44.50 deg, d = 2.036 Å, I 75
45.05 deg, d = 2.012 Å, I 36
53.27 deg, d = 1.720 Å, I 31
55.50 deg, d = 1.656 Å, I 38

Structure:
Unit cell a=5.6913 b=5.6913 c=5.8280 alpha=90.00 beta=90.00 gamma=90.00
Fractional coordinates of all 7 atoms:
Nd1 0.0000 0.0000 0.0000
Nd2 0.0000 0.5000 0.5000
Nd3 0.5000 0.0000 0.5000
Al1 0.0000 0.0000 0.5000
Cl1 0.0000 0.5000 0.0000
Cl2 0.5000 0.0000 0.0000
F1 0.5000 0.5000 0.5000



# 10
The following is a simulated powder diffractogram of Nd3Se2NO. It was derived from DFT lattice parameters and positions (PBE), using Cu Kα.

Most intense lines, 15 to 90 degrees two-theta, in order of rising 2θ:
26.89 deg, d = 3.316 Å, I 51
29.39 deg, d = 3.039 Å, I 100
35.94 deg, d = 2.499 Å, I 31
39.29 deg, d = 2.293 Å, I 15
44.22 deg, d = 2.048 Å, I 34
44.67 deg, d = 2.028 Å, I 19
52.91 deg, d = 1.730 Å, I 16
73.50 deg, d = 1.288 Å, I 13

Structure:
Unit cell a=8.2494 b=8.2494 c=10.0432 alpha=97.13 beta=97.13 gamma=28.47
Fractional coordinates of all 14 atoms:
Nd1 0.0450 0.0450 0.2638
Nd2 0.1982 0.1982 0.6727
Nd3 0.3901 0.3901 0.0530
Nd4 0.6099 0.6099 0.9470
Nd5 0.8018 0.8018 0.3273
Nd6 0.9550 0.9550 0.7362
Se1 0.2123 0.2123 0.1501
Se2 0.3721 0.3721 0.5256
Se3 0.6279 0.6279 0.4744
Se4 0.7877 0.7877 0.8499
N1 0.0981 0.0981 0.8116
N2 0.9019 0.9019 0.1884
O1 0.4644 0.4644 0.8593
O2 0.5356 0.5356 0.1407



# 11
The following is a simulated powder diffractogram of GdGaH2. It was derived from DFT lattice parameters and positions (PBE), using Cu Kα.

Most intense lines, 15 to 90 degrees two-theta, in order of rising 2θ:
26.63 deg, d = 3.348 Å, I 28
31.59 deg, d = 2.833 Å, I 67
31.93 deg, d = 2.803 Å, I 100
37.71 deg, d = 2.385 Å, I 41
38.73 deg, d = 2.325 Å, I 31
44.27 deg, d = 2.046 Å, I 23
44.52 deg, d = 2.035 Å, I 23
55.61 deg, d = 1.653 Å, I 27

Structure:
Unit cell a=11.7747 b=4.0701 c=4.0919 alpha=90.00 beta=90.00 gamma=90.00
Fractional coordinates of all 16 atoms:
Gd1 0.1524 0.2500 0.0057
Gd2 0.3476 0.7500 0.5057
Gd3 0.6524 0.2500 0.4943
Gd4 0.8476 0.7500 0.9943
Ga1 0.0639 0.7500 0.5014
Ga2 0.4361 0.2500 0.0014
Ga3 0.5639 0.7500 0.9986
Ga4 0.9361 0.2500 0.4986
H1 0.0555 0.7500 0.9579
H2 0.2497 0.2500 0.5014
H3 0.2503 0.7500 0.0014
H4 0.4445 0.2500 0.4579
H5 0.5555 0.7500 0.5421
H6 0.7497 0.2500 0.9986
H7 0.7503 0.7500 0.4986
H8 0.9445 0.2500 0.0421